Entry 1:
# Li2LaGeH
Computed powder XRD pattern, Cu Kα (λ = 1.5418 Å). Input: the PBE geometry in Alexandria.
Intensities are scaled so that the largest is 100.

Cell and atoms:
```
data_Li2LaGeH
_space_group_name_H-M_alt 'C m c m'
_space_group_IT_number 63
_space_group_name_Hall '-C 2c 2'
_cell_length_a 4.3807
_cell_length_b 11.0339
_cell_length_c 6.9245
_cell_angle_alpha 90.00
_cell_angle_beta 90.00
_cell_angle_gamma 90.00
loop_
_atom_site_label
_atom_site_type_symbol
_atom_site_fract_x
_atom_site_fract_y
_atom_site_fract_z
Li1 Li 0.0000 0.1588 0.0627
La1 La 0.0000 0.4251 0.2500
Ge1 Ge 0.0000 0.2933 0.7500
H1 H 0.0000 0.0000 0.0000
```

Top 10 peaks for 2θ from 10° to 90°, sorted by position:
| (hkl) | 2θ (°) | d [Å] | Rel. int. |
| --- | --- | --- | --- |
| 0 2 1 | 20.58 | 4.315 | 24 |
| 1 1 0 | 21.83 | 4.072 | 82 |
| 0 0 2 | 25.73 | 3.462 | 62 |
| 1 1 2 | 33.99 | 2.638 | 64 |
| 1 3 1 | 34.37 | 2.609 | 100 |
| 0 4 1 | 35.02 | 2.563 | 54 |
| 2 0 0 | 41.21 | 2.190 | 22 |
| 2 0 2 | 49.23 | 1.851 | 21 |
| 1 3 3 | 51.16 | 1.785 | 31 |
| 2 4 1 | 55.16 | 1.665 | 29 |

***

Entry 2:
# La2Pm4Ge3H2
Computed powder XRD pattern, Cu Kα (λ = 1.5418 Å). Input: the PBE geometry in Alexandria.
Intensities are scaled so that the largest is 100.

Cell and atoms:
```
data_La2Pm4Ge3H2
_space_group_name_H-M_alt 'I 4/m m m'
_space_group_IT_number 139
_space_group_name_Hall '-I 4 2'
_cell_length_a 4.7117
_cell_length_b 4.7117
_cell_length_c 24.4775
_cell_angle_alpha 90.00
_cell_angle_beta 90.00
_cell_angle_gamma 90.00
loop_
_atom_site_label
_atom_site_type_symbol
_atom_site_fract_x
_atom_site_fract_y
_atom_site_fract_z
La1 La 0.0000 0.0000 0.2018
Pm1 Pm 0.0000 0.5000 0.0795
Ge1 Ge 0.0000 0.0000 0.3304
Ge2 Ge 0.0000 0.0000 0.5000
H1 H 0.0000 0.0000 0.0982
```

Top 10 peaks for 2θ from 10° to 90°, sorted by position:
| (hkl) | 2θ (°) | d [Å] | Rel. int. |
| --- | --- | --- | --- |
| 0 0 6 | 21.78 | 4.080 | 18 |
| 1 1 2 | 27.75 | 3.215 | 71 |
| 0 0 8 | 29.19 | 3.060 | 19 |
| 1 1 4 | 30.55 | 2.926 | 22 |
| 1 0 7 | 31.87 | 2.808 | 23 |
| 1 1 6 | 34.76 | 2.580 | 100 |
| 2 0 0 | 38.20 | 2.356 | 64 |
| 2 0 8 | 48.79 | 1.867 | 19 |
| 2 2 0 | 55.13 | 1.666 | 23 |
| 3 1 6 | 66.85 | 1.400 | 30 |

***

Entry 3:
# LaGeHRh2
Computed powder XRD pattern, Cu Kα (λ = 1.5418 Å). Input: the PBE geometry in Alexandria.
Intensities are scaled so that the largest is 100.

Cell and atoms:
```
data_LaGeHRh2
_space_group_name_H-M_alt 'C m c m'
_space_group_IT_number 63
_space_group_name_Hall '-C 2c 2'
_cell_length_a 3.9712
_cell_length_b 11.1012
_cell_length_c 7.2581
_cell_angle_alpha 90.00
_cell_angle_beta 90.00
_cell_angle_gamma 90.00
loop_
_atom_site_label
_atom_site_type_symbol
_atom_site_fract_x
_atom_site_fract_y
_atom_site_fract_z
La1 La 0.0000 0.0620 0.2500
Ge1 Ge 0.0000 0.2186 0.7500
H1 H 0.0000 0.5000 0.0000
Rh1 Rh 0.0000 0.3420 0.0516
```

Top 10 peaks for 2θ from 10° to 90°, sorted by position:
| (hkl) | 2θ (°) | d [Å] | Rel. int. |
| --- | --- | --- | --- |
| 1 3 0 | 33.09 | 2.707 | 48 |
| 1 1 2 | 34.44 | 2.604 | 100 |
| 0 4 1 | 34.60 | 2.592 | 51 |
| 1 3 1 | 35.39 | 2.537 | 67 |
| 0 2 3 | 40.68 | 2.218 | 29 |
| 1 3 2 | 41.62 | 2.170 | 25 |
| 1 1 3 | 44.61 | 2.031 | 25 |
| 2 0 0 | 45.69 | 1.986 | 37 |
| 2 4 1 | 58.56 | 1.576 | 22 |
| 1 5 3 | 61.29 | 1.513 | 22 |

***

Entry 4:
# La2Sc4Ge3H2
Computed powder XRD pattern, Cu Kα (λ = 1.5418 Å). Input: the PBE geometry in Alexandria.
Intensities are scaled so that the largest is 100.

Cell and atoms:
```
data_La2Sc4Ge3H2
_space_group_name_H-M_alt 'I 4/m m m'
_space_group_IT_number 139
_space_group_name_Hall '-I 4 2'
_cell_length_a 4.3841
_cell_length_b 4.3841
_cell_length_c 23.2700
_cell_angle_alpha 90.00
_cell_angle_beta 90.00
_cell_angle_gamma 90.00
loop_
_atom_site_label
_atom_site_type_symbol
_atom_site_fract_x
_atom_site_fract_y
_atom_site_fract_z
La1 La 0.0000 0.0000 0.1978
Sc1 Sc 0.0000 0.5000 0.0757
Ge1 Ge 0.0000 0.0000 0.3396
Ge2 Ge 0.0000 0.0000 0.5000
H1 H 0.0000 0.0000 0.0889
```

Top 10 peaks for 2θ from 10° to 90°, sorted by position:
| (hkl) | 2θ (°) | d [Å] | Rel. int. |
| --- | --- | --- | --- |
| 1 0 3 | 23.31 | 3.817 | 32 |
| 1 1 0 | 28.80 | 3.100 | 41 |
| 1 1 2 | 29.83 | 2.996 | 70 |
| 1 0 7 | 33.84 | 2.649 | 80 |
| 1 1 6 | 37.13 | 2.422 | 100 |
| 2 0 0 | 41.18 | 2.192 | 70 |
| 2 1 7 | 54.32 | 1.689 | 41 |
| 1 0 13 | 55.45 | 1.657 | 26 |
| 2 1 13 | 71.35 | 1.322 | 24 |
| 3 1 6 | 72.38 | 1.306 | 29 |

***

Question: Which formula does entry 2 have?
Answer: La2Pm4Ge3H2

***

Repeat the first record exactly.
# Li2LaGeH
Computed powder XRD pattern, Cu Kα (λ = 1.5418 Å). Input: the PBE geometry in Alexandria.
Intensities are scaled so that the largest is 100.

Cell and atoms:
```
data_Li2LaGeH
_space_group_name_H-M_alt 'C m c m'
_space_group_IT_number 63
_space_group_name_Hall '-C 2c 2'
_cell_length_a 4.3807
_cell_length_b 11.0339
_cell_length_c 6.9245
_cell_angle_alpha 90.00
_cell_angle_beta 90.00
_cell_angle_gamma 90.00
loop_
_atom_site_label
_atom_site_type_symbol
_atom_site_fract_x
_atom_site_fract_y
_atom_site_fract_z
Li1 Li 0.0000 0.1588 0.0627
La1 La 0.0000 0.4251 0.2500
Ge1 Ge 0.0000 0.2933 0.7500
H1 H 0.0000 0.0000 0.0000
```

Top 10 peaks for 2θ from 10° to 90°, sorted by position:
| (hkl) | 2θ (°) | d [Å] | Rel. int. |
| --- | --- | --- | --- |
| 0 2 1 | 20.58 | 4.315 | 24 |
| 1 1 0 | 21.83 | 4.072 | 82 |
| 0 0 2 | 25.73 | 3.462 | 62 |
| 1 1 2 | 33.99 | 2.638 | 64 |
| 1 3 1 | 34.37 | 2.609 | 100 |
| 0 4 1 | 35.02 | 2.563 | 54 |
| 2 0 0 | 41.21 | 2.190 | 22 |
| 2 0 2 | 49.23 | 1.851 | 21 |
| 1 3 3 | 51.16 | 1.785 | 31 |
| 2 4 1 | 55.16 | 1.665 | 29 |